For FeH6SO6, a crystal structure in the Materials Project, relaxed with PBE+U gives the theoretical powder X-ray diffraction pattern in this record (Cu Kα (weighted mean of Kα1 and Kα2)).

Structural model:
```
FeH6SO6
1.0
7.4226 0.0000 0.0000
0.0000 8.0347 0.0000
-2.2952 0.0000 9.0335
Fe H S O
4 24 4 24
Cartesian
0.0671 1.1432 4.3181 Fe
-1.0805 2.8741 8.8348 Fe
6.2079 5.1605 0.1986 Fe
5.0604 6.8915 4.7154 Fe
0.8316 0.6236 1.1095 H
-0.3160 3.3937 5.6262 H
-0.5270 0.0403 8.9589 H
0.6205 3.9771 4.4421 H
1.7817 4.1398 2.2868 H
0.6341 7.9122 6.8036 H
1.1038 1.3790 6.7932 H
2.2514 2.6383 2.2765 H
2.7199 0.6216 3.3318 H
1.5723 3.3957 7.8486 H
3.5410 5.8738 0.1803 H
2.3934 6.1782 4.6970 H
2.7340 1.8564 4.3365 H
1.5865 2.1609 8.8532 H
3.5551 4.6389 1.1849 H
2.4076 7.4131 5.7017 H
2.8761 5.3964 6.7570 H
4.0236 6.6556 2.2403 H
4.4934 0.1225 2.2299 H
3.3458 3.8948 6.7467 H
4.5069 4.0576 4.5913 H
5.6545 7.9944 0.0746 H
5.4435 4.6410 3.4073 H
4.2959 7.4110 7.9240 H
-0.7328 5.6954 7.3341 S
0.4148 6.3566 2.8173 S
4.7127 1.6781 6.2161 S
5.8603 2.3393 1.6994 S
-0.4442 1.4904 2.3255 O
-1.5918 2.5269 6.8423 O
-1.4372 4.9787 8.5412 O
-0.2896 7.0733 4.0245 O
1.4933 0.8588 0.4184 O
0.3457 3.1586 4.9352 O
1.3523 5.3250 3.4941 O
0.2048 6.7270 8.0109 O
1.0318 0.5803 6.2068 O
2.1794 3.4370 1.6900 O
2.1948 1.4112 3.6204 O
1.0472 2.6061 8.1371 O
4.0803 5.4286 0.8964 O
2.9327 6.6234 5.4131 O
2.9480 4.5977 7.3434 O
4.0956 7.4543 2.8267 O
4.9227 1.3077 1.0226 O
3.7751 2.7096 5.5394 O
4.7818 4.8761 4.0983 O
3.6342 7.1759 8.6150 O
5.4171 0.9614 5.0090 O
6.5647 3.0560 0.4923 O
6.7193 5.5078 2.1912 O
5.5717 6.5442 6.7079 O
```

Main lines, low angle first (2θ from 10° to 80°):
2θ 12.3, 7.194 Å, rel. 100, hkl 1 0 0; 2θ 14.8, 6.004 Å, rel. 91, hkl 0 1 1; 2θ 22.1, 4.017 Å, rel. 28, hkl 0 2 0; 2θ 25.7, 3.461 Å, rel. 23, hkl 1 0 2; 2θ 28.1, 3.178 Å, rel. 52, hkl 1 1 2; 2θ 29.8, 2.995 Å, rel. 67, hkl 2 1 -2; 2θ 30.3, 2.947 Å, rel. 38, hkl 1 2 -2; 2θ 34.9, 2.568 Å, rel. 25, hkl 0 3 1; 2θ 38.0, 2.366 Å, rel. 25, hkl 1 3 1; 2θ 49.5, 1.841 Å, rel. 29, hkl 2 2 3